Diffraction record for KSc2F7. The powder diffraction line list is calculated, not measured: it uses a DFT-relaxed cell (PBE, the Materials Project) and Cu Kα X-rays.

Top 10 peaks for 2θ from 15° to 90°, most intense first:
Position (°2θ), intensity
27.0, 1000
21.8, 636
28.3, 579
44.4, 492
48.5, 396
16.5, 377
47.7, 367
27.4, 329
43.3, 265
49.8, 245

Cell and atoms:
```
KSc2F7
1.0
3.303 -5.387 0.000
3.303 5.387 0.000
0.000 0.000 4.085
K Sc F
1 2 7
direct
0.000 0.000 0.000
0.308 0.692 0.500
0.692 0.308 0.500
0.044 0.335 0.500
0.299 0.701 0.000
0.335 0.044 0.500
0.500 0.500 0.500
0.665 0.956 0.500
0.701 0.299 0.000
0.956 0.665 0.500
```

=====

Diffraction record for Na3CuO3. The powder diffraction line list is calculated, not measured: it uses a DFT-relaxed cell (PBE, the Materials Project) and Cu Kα X-rays.

Top 10 peaks for 2θ from 15° to 90°, most intense first:
Position (°2θ), intensity
22.2, 1000
33.8, 882
38.4, 709
40.7, 454
57.2, 390
53.0, 293
66.5, 271
24.2, 222
71.0, 157
55.4, 146

Cell and atoms:
```
Na3CuO3
1.0
9.377 0.000 0.000
0.000 9.377 0.000
0.000 0.000 4.432
Na Cu O
12 4 12
direct
0.126 0.366 0.000
0.134 0.626 0.500
0.151 0.151 0.500
0.349 0.651 0.000
0.366 0.126 0.000
0.374 0.866 0.500
0.626 0.134 0.500
0.634 0.874 0.000
0.651 0.349 0.000
0.849 0.849 0.500
0.866 0.374 0.500
0.874 0.634 0.000
0.109 0.891 0.000
0.391 0.391 0.500
0.609 0.609 0.500
0.891 0.109 0.000
0.094 0.094 0.000
0.106 0.694 0.000
0.194 0.394 0.500
0.306 0.894 0.000
0.394 0.194 0.500
0.406 0.594 0.500
0.594 0.406 0.500
0.606 0.806 0.500
0.694 0.106 0.000
0.806 0.606 0.500
0.894 0.306 0.000
0.906 0.906 0.000
```

=====

Diffraction record for HfFeSi2. The powder diffraction line list is calculated, not measured: it uses a DFT-relaxed cell (PBE, the Materials Project) and Cu Kα X-rays.

Top 10 peaks for 2θ from 15° to 90°, most intense first:
Position (°2θ), intensity
29.5, 1000
17.9, 553
39.8, 513
43.8, 458
36.7, 352
37.3, 334
18.1, 310
32.3, 300
45.3, 299
43.6, 272

Cell and atoms:
```
HfFeSi2
1.0
-2.553 3.822 9.793
2.553 -3.822 9.793
2.553 3.822 -9.793
Hf Fe Si
6 6 12
direct
0.129 0.384 0.745
0.146 0.146 0.000
0.361 0.616 0.745
0.639 0.384 0.255
0.854 0.854 0.000
0.871 0.616 0.255
0.000 0.000 0.500
0.000 0.500 0.000
0.253 0.500 0.753
0.500 0.000 0.000
0.500 0.500 0.500
0.747 0.500 0.247
0.000 0.241 0.241
0.000 0.759 0.759
0.191 0.844 0.347
0.219 0.719 0.500
0.286 0.286 0.000
0.498 0.844 0.653
0.500 0.246 0.746
0.500 0.754 0.254
0.502 0.156 0.347
0.714 0.714 0.000
0.781 0.281 0.500
0.809 0.156 0.653
```

=====

Diffraction record for SmErIn2. The powder diffraction line list is calculated, not measured: it uses a DFT-relaxed cell (PBE, the Materials Project) and Cu Kα X-rays.

Top 10 peaks for 2θ from 15° to 90°, most intense first:
Position (°2θ), intensity
33.5, 1000
59.9, 370
48.1, 180
80.2, 159
70.4, 114
89.8, 42
23.5, 26
54.2, 12
41.3, 8
75.4, 6

Cell and atoms:
```
SmErIn2
1.0
7.566 0.000 0.000
0.000 7.566 0.000
0.000 0.000 7.566
Sm Er In
4 4 8
direct
0.000 0.000 0.000
0.000 0.500 0.500
0.500 0.000 0.500
0.500 0.500 0.000
0.000 0.000 0.500
0.000 0.500 0.000
0.500 0.000 0.000
0.500 0.500 0.500
0.250 0.250 0.250
0.250 0.250 0.750
0.250 0.750 0.250
0.250 0.750 0.750
0.750 0.250 0.250
0.750 0.250 0.750
0.750 0.750 0.250
0.750 0.750 0.750
```